This entry pairs a crystal structure of BeNbTe with its calculated powder XRD pattern. Radiation: a wavelength of 1.5418 Å. Structure: a cell relaxed with PBE.

The 6 most intense peaks (2θ from 15° to 90°), by angle:
| 2θ (°) | intensity |
| --- | --- |
| 15.67 | 80 |
| 29.44 | 60 |
| 31.19 | 83 |
| 34.78 | 87 |
| 41.67 | 100 |
| 51.99 | 55 |

Structure:
Lattice parameters (Å, degrees): 11.492 11.492 11.492 17.61 17.61 17.61
Fractional positions:
1 Be 0.164 0.164 0.164
2 Be 0.836 0.836 0.836
3 Nb 0.451 0.451 0.451
4 Nb 0.549 0.549 0.549
5 Te 0.273 0.273 0.273
6 Te 0.727 0.727 0.727

This entry pairs a crystal structure of TiBeNb with its calculated powder XRD pattern. Radiation: a wavelength of 1.5418 Å. Structure: a cell relaxed with PBE.

The 6 most intense peaks (2θ from 15° to 90°), by angle:
| 2θ (°) | intensity |
| --- | --- |
| 21.98 | 12 |
| 27.01 | 12 |
| 35.09 | 100 |
| 38.57 | 48 |
| 53.12 | 12 |
| 60.59 | 35 |

Structure:
Lattice parameters (Å, degrees): 5.718 5.718 5.718 90.00 90.00 90.00
Fractional positions:
1 Ti 0.152 0.348 0.652
2 Ti 0.348 0.652 0.152
3 Ti 0.652 0.152 0.348
4 Ti 0.848 0.848 0.848
5 Be 0.007 0.507 0.993
6 Be 0.493 0.493 0.493
7 Be 0.507 0.993 0.007
8 Be 0.993 0.007 0.507
9 Nb 0.153 0.153 0.153
10 Nb 0.347 0.847 0.653
11 Nb 0.653 0.347 0.847
12 Nb 0.847 0.653 0.347

This entry pairs a crystal structure of TiBe9Nb2 with its calculated powder XRD pattern. Radiation: a wavelength of 1.5418 Å. Structure: a cell relaxed with PBE.

The 6 most intense peaks (2θ from 15° to 90°), by angle:
| 2θ (°) | intensity |
| --- | --- |
| 22.50 | 59 |
| 23.39 | 45 |
| 39.33 | 100 |
| 39.50 | 75 |
| 47.51 | 50 |
| 71.53 | 32 |

Structure:
Lattice parameters (Å, degrees): 4.563 4.563 14.060 90.00 90.00 120.00
Fractional positions:
1 Ti 0.333 0.667 0.250
2 Ti 0.667 0.333 0.750
3 Be 0.000 0.000 0.000
4 Be 0.000 0.000 0.250
5 Be 0.000 0.000 0.500
6 Be 0.000 0.000 0.750
7 Be 0.169 0.337 0.628
8 Be 0.169 0.337 0.872
9 Be 0.169 0.831 0.628
10 Be 0.169 0.831 0.872
11 Be 0.333 0.667 0.750
12 Be 0.337 0.169 0.128
13 Be 0.337 0.169 0.372
14 Be 0.663 0.831 0.628
15 Be 0.663 0.831 0.872
16 Be 0.667 0.333 0.250
17 Be 0.831 0.169 0.128
18 Be 0.831 0.169 0.372
19 Be 0.831 0.663 0.128
20 Be 0.831 0.663 0.372
21 Nb 0.333 0.667 0.038
22 Nb 0.333 0.667 0.462
23 Nb 0.667 0.333 0.538
24 Nb 0.667 0.333 0.962

This entry pairs a crystal structure of UBe17Nb with its calculated powder XRD pattern. Radiation: a wavelength of 1.5418 Å. Structure: a cell relaxed with PBE.

The 6 most intense peaks (2θ from 15° to 90°), by angle:
| 2θ (°) | intensity |
| --- | --- |
| 15.78 | 95 |
| 21.10 | 46 |
| 23.62 | 100 |
| 24.22 | 32 |
| 34.08 | 93 |
| 48.65 | 44 |

Structure:
Lattice parameters (Å, degrees): 5.694 5.694 5.694 82.85 82.85 82.85
Fractional positions:
1 U 0.000 0.000 0.000
2 Be 0.052 0.342 0.623
3 Be 0.052 0.623 0.342
4 Be 0.182 0.680 0.680
5 Be 0.245 0.245 0.245
6 Be 0.340 0.340 0.838
7 Be 0.340 0.838 0.340
8 Be 0.342 0.052 0.623
9 Be 0.342 0.623 0.052
10 Be 0.438 0.438 0.438
11 Be 0.498 0.994 0.994
12 Be 0.623 0.052 0.342
13 Be 0.623 0.342 0.052
14 Be 0.680 0.182 0.680
15 Be 0.680 0.680 0.182
16 Be 0.838 0.340 0.340
17 Be 0.994 0.498 0.994
18 Be 0.994 0.994 0.498
19 Nb 0.676 0.676 0.676